(1)
Theoretical X-ray diffraction stick pattern of Pr2InCu2Pd5 for Cu Kα, 1.54184 Å, from a GGA-PBE-relaxed structure.
Kinematic intensities with the Lorentz-polarization factor, no thermal factor.

Unit cell a=9.7115 b=9.7115 c=3.9304 alpha=90.00 beta=90.00 gamma=90.00
Space group P4/mbm (No. 127)
Unique sites:
1 Pr 0.1761 0.3239 0.0000
2 In 0.0000 0.0000 0.0000
3 Cu 0.1204 0.6204 0.0000
4 Pd 0.0000 0.5000 0.5000
5 Pd 0.0665 0.7910 0.5000

Principal peaks in the range 10° ≤ 2θ ≤ 80°, sorted by position:
hkl	2theta	d/Å	intensity
2 1 1	30.68	2.914	28
2 2 1	34.69	2.586	28
3 1 1	37.15	2.420	100
4 1 0	38.21	2.355	47
3 3 0	39.36	2.289	13
3 2 1	40.61	2.222	36
4 2 0	41.59	2.172	16
0 0 2	46.19	1.965	27
4 1 2	61.45	1.509	23
3 1 3	79.55	1.205	13



(2)
Theoretical X-ray diffraction stick pattern of Ti2In2Cu7Pd for Cu Kα, 1.54184 Å, from a GGA-PBE-relaxed structure.
Kinematic intensities with the Lorentz-polarization factor, no thermal factor.

Unit cell a=4.8673 b=4.8677 c=16.0918 alpha=90.00 beta=98.58 gamma=90.00
Space group C2/m (No. 12)
Unique sites:
1 Ti 0.1259 0.0000 0.2569
2 In 0.1821 0.5000 0.3685
3 Cu 0.0000 0.0000 0.0000
4 Cu 0.1878 0.2500 0.8703
5 Cu 0.2283 0.0000 0.4602
6 Pd 0.0000 0.5000 0.0000

Principal peaks in the range 10° ≤ 2θ ≤ 80°, sorted by position:
hkl	2theta	d/Å	intensity
0 0 2	11.12	7.956	38
1 1 -3	29.50	3.027	29
1 1 4	36.43	2.466	24
0 2 0	36.93	2.434	22
2 0 -2	37.38	2.406	30
1 1 5	40.76	2.214	100
2 0 3	43.60	2.076	30
0 0 8	45.61	1.989	21
2 0 4	46.99	1.934	20
2 2 -1	53.23	1.721	45



(3)
Theoretical X-ray diffraction stick pattern of Y2InCu2Pd5 for Cu Kα, 1.54184 Å, from a GGA-PBE-relaxed structure.
Kinematic intensities with the Lorentz-polarization factor, no thermal factor.

Unit cell a=9.5187 b=9.5187 c=3.9024 alpha=90.00 beta=90.00 gamma=90.00
Space group P4/mbm (No. 127)
Unique sites:
1 Y 0.1743 0.3257 0.0000
2 In 0.0000 0.0000 0.0000
3 Cu 0.1220 0.6220 0.0000
4 Pd 0.0000 0.5000 0.5000
5 Pd 0.0701 0.7926 0.5000

Principal peaks in the range 10° ≤ 2θ ≤ 80°, sorted by position:
hkl	2theta	d/Å	intensity
2 1 1	31.09	2.877	15
2 2 1	35.21	2.549	23
3 1 1	37.74	2.383	100
4 1 0	39.02	2.309	36
3 2 1	41.29	2.187	37
4 2 0	42.47	2.128	18
0 0 2	46.54	1.951	26
4 1 2	62.30	1.490	17
4 2 2	64.82	1.438	10
7 1 1	74.57	1.273	11



(4)
Theoretical X-ray diffraction stick pattern of Pm4InCu for Cu Kα, 1.54184 Å, from a GGA-PBE-relaxed structure.
Kinematic intensities with the Lorentz-polarization factor, no thermal factor.

Unit cell a=5.4565 b=7.2115 c=8.8830 alpha=90.00 beta=99.49 gamma=90.00
Space group P2_1/m (No. 11)
Unique sites:
1 Pm 0.1467 0.2500 0.0435
2 Pm 0.2079 0.7500 0.3718
3 Pm 0.3262 0.5204 0.7362
4 In 0.2267 0.2500 0.4144
5 Cu 0.3664 0.7500 0.0525

Principal peaks in the range 10° ≤ 2θ ≤ 80°, sorted by position:
hkl	2theta	d/Å	intensity
1 2 0	29.83	2.996	16
1 2 -1	30.64	2.918	72
1 1 2	30.96	2.889	17
0 2 2	32.15	2.784	64
1 0 -3	32.42	2.761	100
2 0 -1	33.18	2.700	26
2 0 0	33.30	2.691	23
1 2 -2	34.71	2.585	21
1 0 3	37.38	2.406	26
0 4 0	50.63	1.803	18



(5)
Theoretical X-ray diffraction stick pattern of Pm2In3Cu for Cu Kα, 1.54184 Å, from a GGA-PBE-relaxed structure.
Kinematic intensities with the Lorentz-polarization factor, no thermal factor.

Unit cell a=7.5121 b=9.6363 c=16.7235 alpha=90.00 beta=90.00 gamma=90.00
Space group Fmmm (No. 69)
Unique sites:
1 Pm 0.2470 0.0000 0.0000
2 Pm 0.2500 0.2500 0.2500
3 In 0.0000 0.0000 0.3267
4 In 0.0000 0.2400 0.0870
5 Cu 0.0000 0.0000 0.1677

Principal peaks in the range 10° ≤ 2θ ≤ 80°, sorted by position:
hkl	2theta	d/Å	intensity
2 2 2	32.05	2.793	100
0 2 6	37.27	2.413	44
0 4 0	37.33	2.409	22
4 0 0	48.47	1.878	10
2 4 4	49.97	1.825	28
4 4 0	62.70	1.482	28
2 4 8	63.94	1.456	17
2 6 2	64.03	1.454	9
0 6 6	67.28	1.392	7
0 4 12	79.44	1.206	4



(6)
Theoretical X-ray diffraction stick pattern of Pm4In3Cu for Cu Kα, 1.54184 Å, from a GGA-PBE-relaxed structure.
Kinematic intensities with the Lorentz-polarization factor, no thermal factor.

Unit cell a=3.6235 b=3.6235 c=16.5097 alpha=90.00 beta=90.00 gamma=90.00
Space group P4/mmm (No. 123)
Unique sites:
1 Pm 0.0000 0.0000 0.1065
2 Pm 0.0000 0.0000 0.3688
3 In 0.5000 0.5000 0.2366
4 In 0.5000 0.5000 0.5000
5 Cu 0.5000 0.5000 0.0000

Principal peaks in the range 10° ≤ 2θ ≤ 80°, sorted by position:
hkl	2theta	d/Å	intensity
1 0 3	29.52	3.026	6
1 0 4	32.89	2.723	100
1 1 0	35.02	2.562	47
0 0 8	43.87	2.064	8
2 0 0	50.37	1.812	16
1 1 7	52.75	1.735	5
1 1 8	57.33	1.607	15
2 1 4	61.47	1.508	32
1 0 11	67.55	1.387	6
2 0 8	68.97	1.362	8



(7)
Theoretical X-ray diffraction stick pattern of Pm2InCu2Pt5 for Cu Kα, 1.54184 Å, from a GGA-PBE-relaxed structure.
Kinematic intensities with the Lorentz-polarization factor, no thermal factor.

Unit cell a=9.5800 b=9.5800 c=3.9388 alpha=90.00 beta=90.00 gamma=90.00
Space group P4/mbm (No. 127)
Unique sites:
1 Pm 0.1761 0.3239 0.0000
2 In 0.0000 0.0000 0.0000
3 Cu 0.1207 0.6207 0.0000
4 Pt 0.0000 0.5000 0.5000
5 Pt 0.0674 0.7898 0.5000

Principal peaks in the range 10° ≤ 2θ ≤ 80°, sorted by position:
hkl	2theta	d/Å	intensity
0 0 1	22.57	3.939	14
2 1 1	30.84	2.900	33
2 2 1	34.94	2.568	27
3 1 1	37.45	2.401	100
4 1 0	38.76	2.323	52
3 2 1	40.97	2.203	43
4 2 0	42.19	2.142	20
0 0 2	46.09	1.969	31
4 1 2	61.75	1.502	27
7 1 1	73.99	1.281	15



(8)
Theoretical X-ray diffraction stick pattern of PmYInCu for Cu Kα, 1.54184 Å, from a GGA-PBE-relaxed structure.
Kinematic intensities with the Lorentz-polarization factor, no thermal factor.

Unit cell a=7.4085 b=7.4085 c=7.4085 alpha=90.00 beta=90.00 gamma=90.00
Space group F-43m (No. 216)
Unique sites:
1 Pm 0.0000 0.0000 0.0000
2 Y 0.0000 0.0000 0.5000
3 In 0.2500 0.2500 0.7500
4 Cu 0.2500 0.2500 0.2500

Principal peaks in the range 10° ≤ 2θ ≤ 80°, sorted by position:
hkl	2theta	d/Å	intensity
1 1 1	20.77	4.277	7
2 0 0	24.02	3.704	2
2 2 0	34.23	2.619	100
3 1 1	40.38	2.234	4
4 0 0	49.19	1.852	18
3 3 1	53.95	1.700	2
4 2 2	61.30	1.512	36
5 1 1	65.46	1.426	1
4 4 0	72.12	1.310	11
5 3 1	75.99	1.252	1



(9)
Theoretical X-ray diffraction stick pattern of PmZnInCu for Cu Kα, 1.54184 Å, from a GGA-PBE-relaxed structure.
Kinematic intensities with the Lorentz-polarization factor, no thermal factor.

Unit cell a=6.8447 b=6.8447 c=6.8447 alpha=90.00 beta=90.00 gamma=90.00
Space group F-43m (No. 216)
Unique sites:
1 Pm 0.0000 0.0000 0.0000
2 Zn 0.2500 0.2500 0.7500
3 In 0.0000 0.0000 0.5000
4 Cu 0.2500 0.2500 0.2500

Principal peaks in the range 10° ≤ 2θ ≤ 80°, sorted by position:
hkl	2theta	d/Å	intensity
1 1 1	22.50	3.952	1
2 0 0	26.04	3.422	12
2 2 0	37.15	2.420	100
3 1 1	43.87	2.064	1
2 2 2	45.93	1.976	3
4 0 0	53.55	1.711	17
4 2 0	60.49	1.531	5
4 2 2	66.98	1.397	34
4 4 0	79.16	1.210	10



(10)
Theoretical X-ray diffraction stick pattern of Pr8In2Cu for Cu Kα, 1.54184 Å, from a GGA-PBE-relaxed structure.
Kinematic intensities with the Lorentz-polarization factor, no thermal factor.

Unit cell a=19.4646 b=5.3110 c=6.9849 alpha=90.00 beta=105.03 gamma=90.00
Space group C2/m (No. 12)
Unique sites:
1 Pr 0.0134 0.0000 0.2781
2 Pr 0.0915 0.5000 0.9604
3 Pr 0.1502 0.5000 0.4776
4 Pr 0.2091 0.0000 0.7981
5 In 0.1815 0.0000 0.2420
6 Cu 0.0000 0.5000 0.5000

Principal peaks in the range 10° ≤ 2θ ≤ 80°, sorted by position:
hkl	2theta	d/Å	intensity
3 1 1	27.51	3.242	38
5 1 0	29.10	3.069	100
1 1 -2	30.71	2.911	76
3 1 -2	31.54	2.837	34
1 1 2	32.83	2.728	62
0 2 0	33.75	2.656	81
6 0 1	34.56	2.595	25
5 1 -2	35.12	2.555	28
7 1 -1	36.78	2.444	26
11 1 -2	56.40	1.631	26



(11)
Theoretical X-ray diffraction stick pattern of PrIn6Cu6 for Cu Kα, 1.54184 Å, from a GGA-PBE-relaxed structure.
Kinematic intensities with the Lorentz-polarization factor, no thermal factor.

Unit cell a=5.5072 b=9.2980 c=9.3432 alpha=90.00 beta=90.00 gamma=90.00
Space group Immm (No. 71)
Unique sites:
1 Pr 0.0000 0.0000 0.0000
2 In 0.0000 0.0000 0.3444
3 In 0.0000 0.3390 0.0000
4 In 0.0000 0.5000 0.3124
5 Cu 0.0000 0.2650 0.5000
6 Cu 0.2500 0.2500 0.2500

Principal peaks in the range 10° ≤ 2θ ≤ 80°, sorted by position:
hkl	2theta	d/Å	intensity
2 0 0	32.52	2.754	31
1 0 3	33.04	2.711	56
1 3 0	33.17	2.701	20
2 2 0	37.96	2.370	59
1 2 3	38.46	2.340	100
0 4 0	38.74	2.324	30
2 2 2	42.80	2.113	46
0 2 4	43.35	2.087	30
3 2 3	62.00	1.497	24
1 6 3	69.92	1.345	23



(12)
Theoretical X-ray diffraction stick pattern of PrIn2Cu9 for Cu Kα, 1.54184 Å, from a GGA-PBE-relaxed structure.
Kinematic intensities with the Lorentz-polarization factor, no thermal factor.

Unit cell a=5.0918 b=5.0918 c=24.6002 alpha=90.00 beta=90.00 gamma=120.00
Space group R-3m (No. 166, hexagonal axes)
Unique sites:
1 Pr 0.0000 0.0000 0.0000
2 In 0.0000 0.0000 0.1412
3 Cu 0.0000 0.0000 0.3336
4 Cu 0.0000 0.0000 0.5000
5 Cu 0.0033 0.5017 0.9156

Principal peaks in the range 10° ≤ 2θ ≤ 80°, sorted by position:
hkl	2theta	d/Å	intensity
1 0 7	32.58	2.748	31
1 1 0	35.25	2.546	41
0 1 8	35.59	2.522	28
0 2 1	41.10	2.196	35
2 0 2	41.61	2.170	12
1 1 6	41.76	2.163	100
0 0 12	44.18	2.050	17
2 0 5	45.06	2.012	18
0 3 6	67.72	1.384	22
2 2 0	74.55	1.273	21